[1]
Starting from a structure optimized by DFT (GGA-PBE), the powder XRD pattern of Pm2Tl3Pd4 was simulated for a wavelength of 1.5418 Å.
No peak broadening, texture or thermal motion is included.

Principal peaks in the range 10° ≤ 2θ ≤ 90°, by angle:
| 2theta | d_spacing | I/Imax |
| --- | --- | --- |
| 25.96 | 3.433 | 35 |
| 31.65 | 2.827 | 63 |
| 33.32 | 2.689 | 37 |
| 37.61 | 2.391 | 29 |
| 38.12 | 2.361 | 100 |
| 39.02 | 2.309 | 51 |
| 42.71 | 2.117 | 34 |
| 66.89 | 1.399 | 31 |

Atomic structure:
Unit cell a=9.335 b=9.335 c=7.453 alpha=90.00 beta=90.00 gamma=141.85
Fractional positions:
Pm 0.103 0.897 0.914
Pm 0.397 0.603 0.414
Pm 0.603 0.397 0.586
Pm 0.897 0.103 0.086
Tl 0.000 0.000 0.500
Tl 0.012 0.488 0.750
Tl 0.488 0.012 0.250
Tl 0.500 0.500 0.000
Tl 0.512 0.988 0.750
Tl 0.988 0.512 0.250
Pd 0.158 0.842 0.527
Pd 0.175 0.325 0.750
Pd 0.325 0.175 0.250
Pd 0.342 0.658 0.027
Pd 0.658 0.342 0.973
Pd 0.675 0.825 0.750
Pd 0.825 0.675 0.250
Pd 0.842 0.158 0.473

[2]
Starting from a structure optimized by DFT (GGA-PBE), the powder XRD pattern of Pm2Tl2Pd3 was simulated for a wavelength of 1.5418 Å.
No peak broadening, texture or thermal motion is included.

Principal peaks in the range 10° ≤ 2θ ≤ 90°, by angle:
| 2theta | d_spacing | I/Imax |
| --- | --- | --- |
| 28.72 | 3.108 | 97 |
| 32.20 | 2.780 | 78 |
| 35.37 | 2.538 | 45 |
| 38.31 | 2.349 | 100 |
| 41.07 | 2.198 | 49 |
| 48.58 | 1.874 | 29 |
| 53.13 | 1.724 | 36 |
| 71.14 | 1.325 | 45 |

Atomic structure:
Unit cell a=7.613 b=7.613 c=7.613 alpha=109.47 beta=109.47 gamma=109.47
Fractional positions:
Pm 0.000 0.019 0.500
Pm 0.019 0.500 0.000
Pm 0.481 0.481 0.481
Pm 0.500 0.000 0.019
Tl 0.000 0.614 0.500
Tl 0.500 0.000 0.614
Tl 0.614 0.500 0.000
Tl 0.886 0.886 0.886
Pd 0.014 0.250 0.264
Pd 0.236 0.486 0.750
Pd 0.250 0.264 0.014
Pd 0.264 0.014 0.250
Pd 0.486 0.750 0.236
Pd 0.750 0.236 0.486

[3]
Starting from a structure optimized by DFT (GGA-PBE), the powder XRD pattern of Pm3TlPd3 was simulated for a wavelength of 1.5418 Å.
No peak broadening, texture or thermal motion is included.

Principal peaks in the range 10° ≤ 2θ ≤ 90°, by angle:
| 2theta | d_spacing | I/Imax |
| --- | --- | --- |
| 19.23 | 4.615 | 26 |
| 27.74 | 3.215 | 20 |
| 31.18 | 2.869 | 50 |
| 34.32 | 2.613 | 17 |
| 34.66 | 2.588 | 100 |
| 47.30 | 1.922 | 83 |
| 71.14 | 1.325 | 19 |
| 75.83 | 1.255 | 24 |

Atomic structure:
Unit cell a=8.966 b=8.966 c=5.738 alpha=90.00 beta=90.00 gamma=120.00
Fractional positions:
Pm 0.028 0.694 0.250
Pm 0.306 0.334 0.250
Pm 0.334 0.028 0.750
Pm 0.666 0.972 0.250
Pm 0.694 0.666 0.750
Pm 0.972 0.306 0.750
Tl 0.333 0.667 0.750
Tl 0.667 0.333 0.250
Pd 0.022 0.667 0.750
Pd 0.333 0.355 0.750
Pd 0.355 0.022 0.250
Pd 0.645 0.978 0.750
Pd 0.667 0.645 0.250
Pd 0.978 0.333 0.250

[4]
Starting from a structure optimized by DFT (GGA-PBE), the powder XRD pattern of Pm2TmPd was simulated for a wavelength of 1.5418 Å.
No peak broadening, texture or thermal motion is included.

Principal peaks in the range 10° ≤ 2θ ≤ 90°, by angle:
| 2theta | d_spacing | I/Imax |
| --- | --- | --- |
| 28.16 | 3.169 | 16 |
| 31.62 | 2.830 | 100 |
| 32.24 | 2.777 | 49 |
| 33.79 | 2.653 | 24 |
| 36.13 | 2.486 | 14 |
| 36.54 | 2.459 | 13 |
| 36.72 | 2.448 | 14 |
| 38.24 | 2.353 | 18 |

Atomic structure:
Unit cell a=6.830 b=10.545 c=6.345 alpha=90.00 beta=92.94 gamma=90.00
Fractional positions:
Pm 0.171 0.111 0.476
Pm 0.171 0.889 0.976
Pm 0.250 0.434 0.407
Pm 0.250 0.566 0.907
Pm 0.750 0.434 0.093
Pm 0.750 0.566 0.593
Pm 0.829 0.111 0.024
Pm 0.829 0.889 0.524
Tm 0.337 0.224 0.974
Tm 0.337 0.776 0.474
Tm 0.663 0.224 0.526
Tm 0.663 0.776 0.026
Pd 0.000 0.338 0.750
Pd 0.000 0.662 0.250
Pd 0.500 0.001 0.750
Pd 0.500 0.999 0.250

[5]
Starting from a structure optimized by DFT (GGA-PBE), the powder XRD pattern of PmTm5Pd4 was simulated for a wavelength of 1.5418 Å.
No peak broadening, texture or thermal motion is included.

Principal peaks in the range 10° ≤ 2θ ≤ 90°, by angle:
| 2theta | d_spacing | I/Imax |
| --- | --- | --- |
| 31.84 | 2.811 | 17 |
| 34.91 | 2.570 | 100 |
| 36.50 | 2.461 | 81 |
| 38.37 | 2.346 | 49 |
| 52.58 | 1.741 | 29 |
| 64.68 | 1.441 | 33 |
| 65.94 | 1.417 | 18 |
| 66.94 | 1.398 | 19 |

Atomic structure:
Unit cell a=3.481 b=3.481 c=19.056 alpha=90.00 beta=90.00 gamma=90.00
Fractional positions:
Pm 0.000 0.000 0.000
Tm 0.500 0.500 0.140
Tm 0.500 0.500 0.319
Tm 0.500 0.500 0.500
Tm 0.500 0.500 0.681
Tm 0.500 0.500 0.860
Pd 0.000 0.000 0.227
Pd 0.000 0.000 0.409
Pd 0.000 0.000 0.591
Pd 0.000 0.000 0.773

[6]
Starting from a structure optimized by DFT (GGA-PBE), the powder XRD pattern of PmTm2Pd2 was simulated for a wavelength of 1.5418 Å.
No peak broadening, texture or thermal motion is included.

Principal peaks in the range 10° ≤ 2θ ≤ 90°, by angle:
| 2theta | d_spacing | I/Imax |
| --- | --- | --- |
| 25.58 | 3.482 | 45 |
| 36.41 | 2.468 | 99 |
| 36.58 | 2.456 | 100 |
| 52.57 | 1.741 | 35 |
| 65.40 | 1.427 | 17 |
| 65.75 | 1.420 | 35 |
| 65.86 | 1.418 | 18 |
| 89.04 | 1.100 | 16 |

Atomic structure:
Unit cell a=4.913 b=4.913 c=6.059 alpha=90.00 beta=90.00 gamma=120.00
Fractional positions:
Pm 0.000 0.000 0.000
Tm 0.333 0.667 0.337
Tm 0.667 0.333 0.663
Pd 0.333 0.667 0.808
Pd 0.667 0.333 0.192

[7]
Starting from a structure optimized by DFT (GGA-PBE), the powder XRD pattern of PmVPd was simulated for a wavelength of 1.5418 Å.
No peak broadening, texture or thermal motion is included.

Principal peaks in the range 10° ≤ 2θ ≤ 90°, by angle:
| 2theta | d_spacing | I/Imax |
| --- | --- | --- |
| 24.78 | 3.592 | 19 |
| 27.45 | 3.249 | 13 |
| 30.92 | 2.892 | 30 |
| 35.33 | 2.540 | 78 |
| 37.32 | 2.410 | 100 |
| 45.31 | 2.001 | 13 |
| 50.83 | 1.796 | 27 |
| 64.73 | 1.440 | 39 |

Atomic structure:
Unit cell a=3.592 b=3.592 c=9.748 alpha=90.00 beta=90.00 gamma=90.00
Fractional positions:
Pm 0.000 0.000 0.182
Pm 0.000 0.000 0.818
V 0.500 0.500 0.400
V 0.500 0.500 0.600
Pd 0.000 0.000 0.500
Pd 0.500 0.500 0.000

[8]
Starting from a structure optimized by DFT (GGA-PBE), the powder XRD pattern of PmY2Pd was simulated for a wavelength of 1.5418 Å.
No peak broadening, texture or thermal motion is included.

Principal peaks in the range 10° ≤ 2θ ≤ 90°, by angle:
| 2theta | d_spacing | I/Imax |
| --- | --- | --- |
| 18.12 | 4.896 | 28 |
| 29.98 | 2.981 | 52 |
| 30.59 | 2.923 | 46 |
| 31.06 | 2.879 | 56 |
| 31.37 | 2.851 | 100 |
| 33.13 | 2.704 | 35 |
| 34.00 | 2.637 | 41 |
| 47.26 | 1.923 | 26 |

Atomic structure:
Unit cell a=7.120 b=9.793 c=6.564 alpha=90.00 beta=90.00 gamma=90.00
Fractional positions:
Pm 0.021 0.250 0.136
Pm 0.479 0.750 0.636
Pm 0.521 0.250 0.364
Pm 0.979 0.750 0.864
Y 0.178 0.061 0.674
Y 0.178 0.439 0.674
Y 0.322 0.561 0.174
Y 0.322 0.939 0.174
Y 0.678 0.061 0.826
Y 0.678 0.439 0.826
Y 0.822 0.561 0.326
Y 0.822 0.939 0.326
Pd 0.114 0.750 0.434
Pd 0.386 0.250 0.934
Pd 0.614 0.750 0.066
Pd 0.886 0.250 0.566

[9]
Starting from a structure optimized by DFT (GGA-PBE), the powder XRD pattern of Pm2YPd3 was simulated for a wavelength of 1.5418 Å.
No peak broadening, texture or thermal motion is included.

Principal peaks in the range 10° ≤ 2θ ≤ 90°, by angle:
| 2theta | d_spacing | I/Imax |
| --- | --- | --- |
| 35.01 | 2.563 | 26 |
| 35.23 | 2.547 | 26 |
| 35.76 | 2.511 | 100 |
| 50.51 | 1.807 | 18 |
| 52.42 | 1.745 | 9 |
| 63.28 | 1.470 | 18 |
| 63.57 | 1.464 | 18 |
| 75.78 | 1.255 | 11 |

Atomic structure:
Unit cell a=5.095 b=15.379 c=3.491 alpha=90.00 beta=90.00 gamma=90.00
Fractional positions:
Pm 0.250 0.084 0.001
Pm 0.250 0.416 0.001
Pm 0.750 0.584 0.999
Pm 0.750 0.916 0.999
Y 0.250 0.750 0.999
Y 0.750 0.250 0.001
Pd 0.250 0.250 0.501
Pd 0.250 0.590 0.499
Pd 0.250 0.910 0.499
Pd 0.750 0.090 0.501
Pd 0.750 0.410 0.501
Pd 0.750 0.750 0.499

[10]
Starting from a structure optimized by DFT (GGA-PBE), the powder XRD pattern of Pm2YPd9 was simulated for a wavelength of 1.5418 Å.
No peak broadening, texture or thermal motion is included.

Principal peaks in the range 10° ≤ 2θ ≤ 90°, by angle:
| 2theta | d_spacing | I/Imax |
| --- | --- | --- |
| 21.31 | 4.169 | 1 |
| 22.47 | 3.957 | 1 |
| 37.36 | 2.407 | 100 |
| 43.41 | 2.085 | 49 |
| 63.06 | 1.474 | 32 |
| 75.61 | 1.258 | 25 |
| 75.72 | 1.256 | 12 |
| 79.66 | 1.204 | 11 |

Atomic structure:
Unit cell a=4.172 b=4.172 c=12.494 alpha=90.00 beta=90.00 gamma=90.00
Fractional positions:
Pm 0.000 0.000 0.169
Pm 0.000 0.000 0.831
Y 0.000 0.000 0.500
Pd 0.000 0.500 0.000
Pd 0.000 0.500 0.336
Pd 0.000 0.500 0.664
Pd 0.500 0.000 0.000
Pd 0.500 0.000 0.336
Pd 0.500 0.000 0.664
Pd 0.500 0.500 0.168
Pd 0.500 0.500 0.500
Pd 0.500 0.500 0.832

[11]
Starting from a structure optimized by DFT (GGA-PBE), the powder XRD pattern of Pm2Zn3Pd4 was simulated for a wavelength of 1.5418 Å.
No peak broadening, texture or thermal motion is included.

Principal peaks in the range 10° ≤ 2θ ≤ 90°, by angle:
| 2theta | d_spacing | I/Imax |
| --- | --- | --- |
| 33.17 | 2.701 | 24 |
| 35.05 | 2.560 | 96 |
| 35.79 | 2.509 | 51 |
| 36.74 | 2.446 | 30 |
| 37.11 | 2.423 | 56 |
| 39.46 | 2.283 | 26 |
| 39.64 | 2.274 | 100 |
| 42.23 | 2.140 | 24 |

Atomic structure:
Unit cell a=8.244 b=8.244 c=7.652 alpha=90.00 beta=90.00 gamma=139.89
Fractional positions:
Pm 0.114 0.886 0.921
Pm 0.386 0.614 0.421
Pm 0.614 0.386 0.579
Pm 0.886 0.114 0.079
Zn 0.000 0.000 0.500
Zn 0.023 0.477 0.750
Zn 0.477 0.023 0.250
Zn 0.500 0.500 0.000
Zn 0.523 0.977 0.750
Zn 0.977 0.523 0.250
Pd 0.177 0.823 0.522
Pd 0.191 0.309 0.750
Pd 0.309 0.191 0.250
Pd 0.323 0.677 0.022
Pd 0.677 0.323 0.978
Pd 0.691 0.809 0.750
Pd 0.809 0.691 0.250
Pd 0.823 0.177 0.478

[12]
Starting from a structure optimized by DFT (GGA-PBE), the powder XRD pattern of PmZn8Pd3 was simulated for a wavelength of 1.5418 Å.
No peak broadening, texture or thermal motion is included.

Principal peaks in the range 10° ≤ 2θ ≤ 90°, by angle:
| 2theta | d_spacing | I/Imax |
| --- | --- | --- |
| 35.14 | 2.554 | 48 |
| 37.96 | 2.370 | 90 |
| 41.34 | 2.184 | 100 |
| 42.25 | 2.139 | 73 |
| 64.91 | 1.437 | 33 |
| 67.28 | 1.392 | 23 |
| 70.24 | 1.340 | 25 |
| 74.27 | 1.277 | 25 |

Atomic structure:
Unit cell a=5.108 b=5.108 c=8.423 alpha=90.00 beta=90.00 gamma=120.00
Fractional positions:
Pm 0.000 0.000 0.000
Zn 0.163 0.326 0.676
Zn 0.163 0.837 0.676
Zn 0.333 0.667 0.443
Zn 0.333 0.667 0.933
Zn 0.504 0.009 0.208
Zn 0.504 0.496 0.208
Zn 0.674 0.837 0.676
Zn 0.991 0.496 0.208
Pd 0.000 0.000 0.362
Pd 0.667 0.333 0.505
Pd 0.667 0.333 0.881

[13]
Starting from a structure optimized by DFT (GGA-PBE), the powder XRD pattern of PmZn10Pd2 was simulated for a wavelength of 1.5418 Å.
No peak broadening, texture or thermal motion is included.

Principal peaks in the range 10° ≤ 2θ ≤ 90°, by angle:
| 2theta | d_spacing | I/Imax |
| --- | --- | --- |
| 34.59 | 2.593 | 42 |
| 38.81 | 2.320 | 89 |
| 39.86 | 2.262 | 46 |
| 40.80 | 2.212 | 100 |
| 43.79 | 2.067 | 24 |
| 44.36 | 2.042 | 26 |
| 72.99 | 1.296 | 33 |
| 83.29 | 1.160 | 14 |

Atomic structure:
Unit cell a=8.848 b=6.905 c=6.742 alpha=80.82 beta=50.40 gamma=48.78
Fractional positions:
Pm 0.000 0.000 0.000
Zn 0.000 0.000 0.500
Zn 0.004 0.351 0.649
Zn 0.282 0.500 0.500
Zn 0.351 0.004 0.996
Zn 0.500 0.282 0.718
Zn 0.500 0.500 0.000
Zn 0.500 0.718 0.282
Zn 0.649 0.996 0.004
Zn 0.718 0.500 0.500
Zn 0.996 0.649 0.351
Pd 0.000 0.500 0.000
Pd 0.500 0.000 0.500